For BaZrS3, a GGA-PBE-relaxed structure gives the theoretical powder X-ray diffraction pattern in this record (CuKα).
No peak broadening, texture or thermal motion is included.

Peak list (10 most intense, 2θ = 10–90°, by intensity)
| h k l | Position (°2θ) | d/Å | I/Imax |
| --- | --- | --- | --- |
| 1 2 1 | 25.0 | 3.562 | 100 |
| 0 4 0 | 35.7 | 2.518 | 72 |
| 1 2 3 | 44.2 | 2.051 | 42 |
| 2 4 0 | 43.9 | 2.061 | 29 |
| 2 4 2 | 51.3 | 1.781 | 28 |
| 0 0 2 | 25.1 | 3.544 | 25 |
| 2 0 0 | 24.9 | 3.577 | 24 |
| 1 6 1 | 57.9 | 1.593 | 16 |
| 1 6 3 | 70.0 | 1.344 | 12 |
| 0 2 2 | 30.8 | 2.899 | 12 |

Structural model:
Cell: 7.155 10.077 7.088 Å, 90.00 90.00 90.00°
Element x y z (fractional)
Ba 0.043 0.250 0.009
Ba 0.457 0.750 0.509
Ba 0.543 0.250 0.491
Ba 0.957 0.750 0.991
Zr 0.000 0.000 0.500
Zr 0.000 0.500 0.500
Zr 0.500 0.000 0.000
Zr 0.500 0.500 0.000
S 0.006 0.750 0.439
S 0.213 0.532 0.787
S 0.213 0.968 0.787
S 0.287 0.032 0.287
S 0.287 0.468 0.287
S 0.494 0.250 0.939
S 0.506 0.750 0.061
S 0.713 0.532 0.713
S 0.713 0.968 0.713
S 0.787 0.032 0.213
S 0.787 0.468 0.213
S 0.994 0.250 0.561